Entry 1:
Theoretical powder diffractogram
Compound: TbNdDy2Er4
Radiation: a wavelength of 1.5418 Å
Structure: a PBE-relaxed structure

Most intense lines, 15° ≤ 2θ ≤ 90°, most intense first:
2theta  d [Å]  I_rel
30.5  2.931  100
41.1  2.194  89
26.9  3.309  46
61.5  1.507  27
64.7  1.441  23
54.2  1.692  20
70.2  1.340  18
89.3  1.097  10

Crystal structure
abc: 9.465 9.465 9.465
angles: 138.07 103.51 91.28
Element x y z (fractional)
Tb 0.500 0.000 0.000
Tb 0.500 0.500 0.500
Nd 0.000 0.000 0.000
Nd 0.500 0.000 0.500
Dy 0.000 0.000 0.500
Dy 0.000 0.500 0.000
Dy 0.000 0.500 0.500
Dy 0.500 0.500 0.000
Er 0.248 0.749 0.499
Er 0.250 0.251 0.501
Er 0.250 0.748 0.999
Er 0.251 0.251 0.999
Er 0.749 0.749 0.001
Er 0.750 0.252 0.001
Er 0.750 0.749 0.499
Er 0.752 0.251 0.501


Entry 2:
Theoretical powder diffractogram
Compound: Tb2Pa2Te2S5
Radiation: a wavelength of 1.5418 Å
Structure: a PBE-relaxed structure

Most intense lines, 15° ≤ 2θ ≤ 90°, most intense first:
2theta  d [Å]  I_rel
24.0  3.713  100
36.4  2.465  78
34.2  2.625  69
50.8  1.797  61
17.3  5.140  37
30.2  2.964  37
49.1  1.856  24
46.2  1.965  23

Crystal structure
abc: 13.102 13.102 13.102
angles: 156.88 156.88 32.92
Element x y z (fractional)
Tb 0.159 0.159 0.000
Tb 0.841 0.841 0.000
Pa 0.397 0.397 0.000
Pa 0.603 0.603 0.000
Te 0.279 0.279 0.000
Te 0.721 0.721 0.000
S 0.114 0.614 0.500
S 0.386 0.886 0.500
S 0.500 0.500 0.000
S 0.614 0.114 0.500
S 0.886 0.386 0.500


Entry 3:
Theoretical powder diffractogram
Compound: CsK3Mn4Cl12
Radiation: a wavelength of 1.5418 Å
Structure: a PBE-relaxed structure

Most intense lines, 15° ≤ 2θ ≤ 90°, most intense first:
2theta  d [Å]  I_rel
20.4  4.356  100
23.1  3.842  36
19.2  4.613  30
33.9  2.643  26
42.4  2.133  23
25.3  3.518  22
50.5  1.807  21
23.5  3.790  20

Crystal structure
abc: 9.675 9.675 9.675
angles: 105.29 105.29 105.29
Element x y z (fractional)
Cs 0.000 0.000 0.000
K 0.000 0.551 0.449
K 0.449 0.000 0.551
K 0.551 0.449 0.000
Mn 0.054 0.500 0.946
Mn 0.500 0.500 0.500
Mn 0.500 0.946 0.054
Mn 0.946 0.054 0.500
Cl 0.049 0.652 0.801
Cl 0.094 0.906 0.500
Cl 0.199 0.348 0.951
Cl 0.348 0.951 0.199
Cl 0.352 0.648 0.500
Cl 0.500 0.094 0.906
Cl 0.500 0.352 0.648
Cl 0.648 0.500 0.352
Cl 0.652 0.801 0.049
Cl 0.801 0.049 0.652
Cl 0.906 0.500 0.094
Cl 0.951 0.199 0.348


Entry 4:
Theoretical powder diffractogram
Compound: ReS
Radiation: a wavelength of 1.5418 Å
Structure: a PBE-relaxed structure

Most intense lines, 15° ≤ 2θ ≤ 90°, most intense first:
2theta  d [Å]  I_rel
31.4  2.850  100
42.7  2.117  87
42.1  2.148  76
50.5  1.806  66
30.5  2.927  60
76.3  1.248  27
75.0  1.267  23
46.0  1.975  20

Crystal structure
abc: 8.942 8.942 3.066
angles: 90.00 90.00 120.00
Element x y z (fractional)
Re 0.140 0.632 0.250
Re 0.368 0.508 0.250
Re 0.492 0.860 0.250
Re 0.508 0.140 0.750
Re 0.632 0.492 0.750
Re 0.860 0.368 0.750
S 0.046 0.337 0.250
S 0.291 0.954 0.250
S 0.337 0.291 0.750
S 0.663 0.709 0.250
S 0.709 0.046 0.750
S 0.954 0.663 0.750


Entry 5:
Theoretical powder diffractogram
Compound: SrO10
Radiation: a wavelength of 1.5418 Å
Structure: a PBE-relaxed structure

Most intense lines, 15° ≤ 2θ ≤ 90°, most intense first:
2theta  d [Å]  I_rel
28.8  3.100  100
29.4  3.033  41
38.8  2.321  37
47.4  1.919  27
35.7  2.513  23
47.0  1.935  19
34.5  2.597  16
53.0  1.728  16

Crystal structure
abc: 6.067 6.067 8.970
angles: 90.00 90.00 90.00
Element x y z (fractional)
Sr 0.000 0.000 0.250
Sr 0.000 0.000 0.750
O 0.060 0.338 0.071
O 0.060 0.338 0.929
O 0.060 0.662 0.429
O 0.060 0.662 0.571
O 0.338 0.060 0.429
O 0.338 0.060 0.571
O 0.338 0.940 0.071
O 0.338 0.940 0.929
O 0.500 0.500 0.181
O 0.500 0.500 0.319
O 0.500 0.500 0.681
O 0.500 0.500 0.819
O 0.662 0.060 0.071
O 0.662 0.060 0.929
O 0.662 0.940 0.429
O 0.662 0.940 0.571
O 0.940 0.338 0.429
O 0.940 0.338 0.571
O 0.940 0.662 0.071
O 0.940 0.662 0.929


Entry 6:
Theoretical powder diffractogram
Compound: TcMo2As4
Radiation: a wavelength of 1.5418 Å
Structure: a PBE-relaxed structure

Most intense lines, 15° ≤ 2θ ≤ 90°, most intense first:
2theta  d [Å]  I_rel
43.0  2.102  100
33.7  2.660  74
32.2  2.782  46
41.8  2.160  44
42.1  2.147  35
16.7  5.321  28
54.3  1.688  24
45.9  1.979  22

Crystal structure
abc: 6.833 6.833 7.139
angles: 103.46 103.46 120.77
Element x y z (fractional)
Tc 0.123 0.877 0.500
Tc 0.877 0.123 0.000
Mo 0.075 0.840 0.892
Mo 0.314 0.561 0.395
Mo 0.561 0.314 0.895
Mo 0.840 0.075 0.392
As 0.014 0.519 0.586
As 0.045 0.579 0.106
As 0.126 0.189 0.775
As 0.189 0.126 0.275
As 0.519 0.014 0.086
As 0.579 0.045 0.606
As 0.602 0.643 0.755
As 0.643 0.602 0.255


Entry 7:
Theoretical powder diffractogram
Compound: NdErCoNi
Radiation: a wavelength of 1.5418 Å
Structure: a PBE-relaxed structure

Most intense lines, 15° ≤ 2θ ≤ 90°, most intense first:
2theta  d [Å]  I_rel
37.4  2.404  100
67.5  1.388  34
26.2  3.400  22
53.9  1.700  17
79.8  1.202  11
60.9  1.521  9
46.2  1.963  7
85.7  1.133  5

Crystal structure
abc: 4.809 4.809 4.809
angles: 60.00 60.00 60.00
Element x y z (fractional)
Nd 0.000 0.000 0.000
Er 0.500 0.500 0.500
Co 0.750 0.750 0.750
Ni 0.250 0.250 0.250


Entry 8:
Theoretical powder diffractogram
Compound: Mg2H6Ir
Radiation: a wavelength of 1.5418 Å
Structure: a PBE-relaxed structure

Most intense lines, 15° ≤ 2θ ≤ 90°, most intense first:
2theta  d [Å]  I_rel
16.5  5.383  100
27.0  3.300  67
19.6  4.531  61
23.7  3.752  47
26.1  3.415  45
39.8  2.263  41
36.7  2.447  41
34.6  2.593  32

Crystal structure
abc: 4.967 4.967 6.573
angles: 121.97 121.97 45.42
Element x y z (fractional)
Mg 0.000 0.000 0.000
Mg 0.045 0.045 0.503
H 0.225 0.225 0.362
H 0.300 0.300 0.804
H 0.533 0.533 0.556
H 0.594 0.594 0.947
H 0.876 0.876 0.627
H 0.897 0.897 0.165
Ir 0.403 0.403 0.661